The following is a calculated powder XRD pattern of BaLi2Mg2Ge2. It was derived from a structure optimized by DFT (GGA-PBE), using copper Kα.
Kinematic intensities with the Lorentz-polarization factor, no thermal factor.

```
BaLi2Mg2Ge2
1.0
2.3106 1.3340 8.7657
-2.3106 1.3340 8.7657
0.0000 -2.6681 8.7657
Ba Li Mg Ge
1 2 2 2
direct
0.0000 0.0000 0.0000
0.4298 0.4298 0.4298
0.5702 0.5702 0.5702
0.1358 0.1358 0.1358
0.8642 0.8642 0.8642
0.2431 0.2431 0.2431
0.7569 0.7569 0.7569
```

Largest 10 diffraction maxima, by angle, 2θ from 5° to 70°:
| d_spacing | Rel. int. |
| --- | --- |
| 3.957 | 737 |
| 3.419 | 1000 |
| 3.185 | 351 |
| 2.739 | 227 |
| 2.540 | 822 |
| 2.311 | 780 |
| 1.812 | 262 |
| 1.709 | 243 |
| 1.590 | 224 |
| 1.374 | 233 |

=====

The following is a calculated powder XRD pattern of Ba4LiGe4O12. It was derived from a structure optimized by DFT (GGA-PBE), using copper Kα.
Kinematic intensities with the Lorentz-polarization factor, no thermal factor.

```
Ba4LiGe4O12
1.0
4.8090 0.0000 0.0000
0.0685 5.8557 0.0000
0.2807 0.3662 12.9993
Ba Li Ge O
4 1 4 12
direct
0.0000 0.0000 0.0000
0.0052 0.5669 0.4775
0.4587 0.0743 0.2725
0.5125 0.4585 0.7538
0.5444 0.9840 0.8472
0.0375 0.9267 0.6963
0.4465 0.4866 0.0212
0.5468 0.0639 0.5516
0.9312 0.5497 0.1898
0.9998 0.6292 0.6946
0.0055 0.3612 0.2945
0.0680 0.4703 0.0611
0.4151 0.9781 0.6852
0.4661 0.7204 0.9277
0.4758 0.8725 0.4552
0.4861 0.2219 0.9533
0.4894 0.3572 0.5334
0.5635 0.4981 0.1614
0.9128 0.0805 0.8004
0.9238 0.0406 0.5724
0.9792 0.8471 0.2056
```

Largest 10 diffraction maxima, by angle, 2θ from 5° to 70°:
| d_spacing | Rel. int. |
| --- | --- |
| 3.624 | 236 |
| 3.556 | 1000 |
| 3.531 | 254 |
| 3.437 | 202 |
| 3.250 | 421 |
| 2.927 | 352 |
| 2.877 | 248 |
| 2.811 | 270 |
| 2.404 | 359 |
| 2.144 | 135 |

=====

The following is a calculated powder XRD pattern of Ba4LiGe4O12. It was derived from a structure optimized by DFT (GGA-PBE), using copper Kα.
Kinematic intensities with the Lorentz-polarization factor, no thermal factor.

```
Ba4LiGe4O12
1.0
4.7149 0.0000 0.0000
0.0724 5.9411 0.0000
0.1313 0.3779 13.0036
Ba Li Ge O
4 1 4 12
direct
0.0000 0.0000 0.0000
0.0440 0.6677 0.4875
0.4939 0.1192 0.2868
0.5587 0.4890 0.7933
0.1029 0.3339 0.6658
0.0591 0.9256 0.7380
0.4530 0.5076 0.0712
0.5663 0.0807 0.5832
0.9472 0.6039 0.2244
0.0047 0.8846 0.2542
0.0124 0.6341 0.6912
0.0130 0.3975 0.3195
0.0290 0.2013 0.8099
0.0708 0.5431 0.0951
0.4474 0.9506 0.7040
0.4560 0.3637 0.5783
0.5080 0.2182 0.0561
0.5191 0.9182 0.4733
0.5303 0.7021 0.9727
0.5665 0.5842 0.1989
0.9452 0.0670 0.6083
```

Largest 10 diffraction maxima, by angle, 2θ from 5° to 70°:
| d_spacing | Rel. int. |
| --- | --- |
| 3.671 | 156 |
| 3.596 | 303 |
| 3.547 | 1000 |
| 3.523 | 323 |
| 3.454 | 255 |
| 3.252 | 400 |
| 2.969 | 219 |
| 2.877 | 165 |
| 2.817 | 216 |
| 2.357 | 377 |

=====

The following is a calculated powder XRD pattern of Ba5Mg18Ge13. It was derived from a structure optimized by DFT (GGA-PBE), using copper Kα.
Kinematic intensities with the Lorentz-polarization factor, no thermal factor.

```
Ba5Mg18Ge13
1.0
14.7376 0.0000 0.0000
-7.3688 12.7631 0.0000
0.0000 0.0000 4.5415
Ba Mg Ge
5 18 13
direct
0.0000 0.8177 0.0000
0.1823 0.1823 0.0000
0.3333 0.6667 0.5035
0.6667 0.3333 0.5035
0.8177 0.0000 0.0000
0.0000 0.2802 0.0041
0.0000 0.4420 0.5038
0.1229 0.6391 0.0035
0.1764 0.3740 0.5033
0.1976 0.8236 0.5033
0.2802 0.0000 0.0041
0.3609 0.4838 0.0035
0.3740 0.1764 0.5033
0.4420 0.0000 0.5038
0.4838 0.3609 0.0035
0.5162 0.8771 0.0035
0.5580 0.5580 0.5038
0.6260 0.8024 0.5033
0.6391 0.1229 0.0035
0.7198 0.7198 0.0041
0.8024 0.6260 0.5033
0.8236 0.1976 0.5033
0.8771 0.5162 0.0035
0.0000 0.0000 0.4154
0.0000 0.1728 0.5063
0.0000 0.6307 0.5027
0.1677 0.4781 0.0036
0.1728 0.0000 0.5063
0.3104 0.8323 0.0036
0.3693 0.3693 0.5027
0.4781 0.1677 0.0036
0.5219 0.6896 0.0036
0.6307 0.0000 0.5027
0.6896 0.5219 0.0036
0.8272 0.8272 0.5063
0.8323 0.3104 0.0036
```

Largest 10 diffraction maxima, by angle, 2θ from 5° to 70°:
| d_spacing | Rel. int. |
| --- | --- |
| 12.763 | 258 |
| 3.540 | 368 |
| 3.307 | 783 |
| 3.105 | 637 |
| 2.861 | 993 |
| 2.789 | 1000 |
| 2.271 | 444 |
| 2.127 | 629 |
| 1.905 | 434 |
| 1.552 | 401 |